# 1
The following is a calculated powder diffractogram of Nd4Tl5Hg. It was derived from DFT lattice parameters and positions (GGA-PBE), using copper Kα.
No peak broadening, texture or thermal motion is included.

Most intense lines, 15° ≤ 2θ ≤ 90°, by intensity:
d_spacing, 2theta, intensity
2.524, 35.6, 100
2.957, 30.2, 100
2.748, 32.6, 95
3.159, 28.2, 87
2.421, 37.1, 71
3.635, 24.5, 66
2.817, 31.8, 66
1.464, 63.6, 50
2.163, 41.8, 44
2.612, 34.3, 41

Crystal structure
```
Nd4Tl5Hg
1.0
8.396 0.000 0.000
0.000 10.525 0.000
0.000 0.000 7.268
Nd Tl Hg
8 10 2
Direct
0.014 0.250 0.211
0.250 0.553 0.448
0.250 0.947 0.448
0.486 0.250 0.211
0.514 0.750 0.789
0.750 0.053 0.552
0.750 0.447 0.552
0.986 0.750 0.789
0.066 0.062 0.819
0.066 0.438 0.819
0.250 0.750 0.091
0.434 0.062 0.819
0.434 0.438 0.819
0.566 0.562 0.181
0.566 0.938 0.181
0.750 0.250 0.909
0.934 0.562 0.181
0.934 0.938 0.181
0.250 0.250 0.546
0.750 0.750 0.454
```

=====

# 2
The following is a calculated powder diffractogram of NdTl3Hg12. It was derived from DFT lattice parameters and positions (GGA-PBE), using copper Kα.
No peak broadening, texture or thermal motion is included.

Most intense lines, 15° ≤ 2θ ≤ 90°, by intensity:
d_spacing, 2theta, intensity
2.784, 32.2, 100
2.335, 38.6, 32
1.420, 65.8, 26
1.733, 52.8, 23
2.586, 34.7, 20
1.528, 60.6, 13
1.392, 67.3, 12
1.651, 55.7, 11
1.122, 86.8, 10
1.131, 85.9, 4

Crystal structure
```
NdTl3Hg12
1.0
4.671 0.000 0.000
0.000 4.671 0.000
0.000 0.000 20.689
Nd Tl Hg
1 3 12
Direct
0.000 0.000 0.000
0.000 0.000 0.241
0.000 0.000 0.500
0.000 0.000 0.759
0.000 0.500 0.116
0.000 0.500 0.369
0.000 0.500 0.631
0.000 0.500 0.884
0.500 0.000 0.116
0.500 0.000 0.369
0.500 0.000 0.631
0.500 0.000 0.884
0.500 0.500 0.000
0.500 0.500 0.242
0.500 0.500 0.500
0.500 0.500 0.758
```

=====

# 3
The following is a calculated powder diffractogram of Nd2TmHg4. It was derived from DFT lattice parameters and positions (GGA-PBE), using copper Kα.
No peak broadening, texture or thermal motion is included.

Most intense lines, 15° ≤ 2θ ≤ 90°, by intensity:
d_spacing, 2theta, intensity
2.687, 33.3, 100
2.567, 35.0, 92
1.504, 61.7, 35
1.856, 49.1, 34
1.577, 58.5, 18
1.482, 62.7, 17
3.712, 24.0, 17
1.158, 83.5, 15
1.190, 80.7, 14
1.284, 73.8, 11

Crystal structure
```
Nd2TmHg4
1.0
2.567 1.482 8.994
-2.567 1.482 8.994
0.000 -2.964 8.994
Nd Tm Hg
2 1 4
Direct
0.244 0.244 0.244
0.756 0.756 0.756
0.000 0.000 0.000
0.127 0.127 0.127
0.370 0.370 0.370
0.630 0.630 0.630
0.873 0.873 0.873
```

=====

# 4
The following is a calculated powder diffractogram of Nd9Tm4Hg11. It was derived from DFT lattice parameters and positions (GGA-PBE), using copper Kα.
No peak broadening, texture or thermal motion is included.

Most intense lines, 15° ≤ 2θ ≤ 90°, by intensity:
d_spacing, 2theta, intensity
2.783, 32.2, 100
2.649, 33.8, 87
2.629, 34.1, 83
1.499, 61.9, 35
1.572, 58.7, 23
1.584, 58.3, 22
1.779, 51.4, 18
2.839, 31.5, 15
2.497, 36.0, 15
1.984, 45.7, 14

Crystal structure
```
Nd9Tm4Hg11
1.0
7.937 -11.708 0.000
7.937 11.708 0.000
0.000 0.000 3.558
Nd Tm Hg
9 4 11
Direct
0.000 0.000 0.000
0.133 0.642 0.000
0.292 0.452 0.000
0.358 0.867 0.000
0.452 0.292 0.000
0.548 0.708 0.000
0.642 0.133 0.000
0.708 0.548 0.000
0.867 0.358 0.000
0.053 0.247 0.000
0.247 0.053 0.000
0.753 0.947 0.000
0.947 0.753 0.000
0.083 0.437 0.500
0.138 0.862 0.500
0.219 0.219 0.500
0.338 0.662 0.500
0.437 0.083 0.500
0.500 0.500 0.500
0.563 0.917 0.500
0.662 0.338 0.500
0.781 0.781 0.500
0.862 0.138 0.500
0.917 0.563 0.500
```